No. 1
Starting from a DFT-relaxed cell (PBE, Alexandria), the X-ray diffraction stick pattern of Zr4Si2Au5 was calculated for Cu Kα (weighted mean of Kα1 and Kα2).
Kinematic intensities with the Lorentz-polarization factor, no thermal factor.

Atomic structure:
Unit cell a=6.929 b=3.664 c=8.348 alpha=90.00 beta=93.82 gamma=90.00
Fractional coordinates of all 11 atoms:
Zr: 0.196 0.000 0.355
Zr: 0.232 0.000 0.928
Zr: 0.768 0.000 0.072
Zr: 0.804 0.000 0.645
Si: 0.068 0.500 0.131
Si: 0.932 0.500 0.869
Au: 0.149 0.500 0.635
Au: 0.452 0.500 0.163
Au: 0.500 0.500 0.500
Au: 0.548 0.500 0.837
Au: 0.851 0.500 0.365

Largest 12 diffraction maxima, most intense first, 2θ from 15° to 90°:
d_spacing	I_rel
2.517	1000
3.664	327
2.596	297
2.076	231
2.304	224
1.832	216
2.375	208
2.239	203
1.435	166
3.238	147
2.141	135
1.482	121



No. 2
Starting from a DFT-relaxed cell (PBE, Alexandria), the X-ray diffraction stick pattern of Ba2TcPb was calculated for Cu Kα (weighted mean of Kα1 and Kα2).
Kinematic intensities with the Lorentz-polarization factor, no thermal factor.

Atomic structure:
Unit cell a=4.747 b=6.751 c=6.751 alpha=43.58 beta=90.00 gamma=90.00
Fractional coordinates of all 4 atoms:
Ba: 0.000 0.000 0.000
Ba: 0.500 0.284 0.284
Tc: 0.500 0.591 0.591
Pb: 0.000 0.702 0.702

Largest 12 diffraction maxima, most intense first, 2θ from 15° to 90°:
d_spacing	I_rel
3.324	1000
2.659	783
3.210	671
2.616	420
2.506	358
2.374	307
1.909	306
1.810	283
1.723	231
1.913	223
1.520	213
1.375	174



No. 3
Starting from a DFT-relaxed cell (PBE, Alexandria), the X-ray diffraction stick pattern of Cs3PaAg2O6 was calculated for Cu Kα (weighted mean of Kα1 and Kα2).
Kinematic intensities with the Lorentz-polarization factor, no thermal factor.

Atomic structure:
Unit cell a=6.581 b=6.581 c=7.808 alpha=90.00 beta=90.00 gamma=120.00
Fractional coordinates of all 12 atoms:
Cs: 0.000 0.000 0.000
Cs: 0.333 0.667 0.726
Cs: 0.667 0.333 0.274
Pa: 0.000 0.000 0.500
Ag: 0.333 0.667 0.300
Ag: 0.667 0.333 0.700
O: 0.149 0.298 0.328
O: 0.149 0.851 0.328
O: 0.298 0.149 0.672
O: 0.702 0.851 0.328
O: 0.851 0.149 0.672
O: 0.851 0.702 0.672

Largest 12 diffraction maxima, most intense first, 2θ from 15° to 90°:
d_spacing	I_rel
3.291	1000
3.221	894
1.886	421
2.302	406
1.900	207
1.679	180
1.465	175
1.645	166
5.699	114
1.244	108
1.240	96
1.361	91



No. 4
Starting from a DFT-relaxed cell (PBE, Alexandria), the X-ray diffraction stick pattern of AlSb3F was calculated for Cu Kα (weighted mean of Kα1 and Kα2).
Kinematic intensities with the Lorentz-polarization factor, no thermal factor.

Atomic structure:
Unit cell a=5.216 b=5.216 c=5.216 alpha=90.00 beta=90.00 gamma=90.00
Fractional coordinates of all 5 atoms:
Al: 0.000 0.000 0.000
Sb: 0.000 0.000 0.500
Sb: 0.000 0.500 0.000
Sb: 0.500 0.000 0.000
F: 0.500 0.500 0.500

Largest 12 diffraction maxima, most intense first, 2θ from 15° to 90°:
d_spacing	I_rel
3.012	1000
2.608	671
1.844	469
1.573	414
5.216	381
1.166	204
2.333	192
1.197	166
1.506	158
3.688	104
1.739	99
1.304	72



Please write out number 1 again, unchanged.
Starting from a DFT-relaxed cell (PBE, Alexandria), the X-ray diffraction stick pattern of Zr4Si2Au5 was calculated for Cu Kα (weighted mean of Kα1 and Kα2).
Kinematic intensities with the Lorentz-polarization factor, no thermal factor.

Atomic structure:
Unit cell a=6.929 b=3.664 c=8.348 alpha=90.00 beta=93.82 gamma=90.00
Fractional coordinates of all 11 atoms:
Zr: 0.196 0.000 0.355
Zr: 0.232 0.000 0.928
Zr: 0.768 0.000 0.072
Zr: 0.804 0.000 0.645
Si: 0.068 0.500 0.131
Si: 0.932 0.500 0.869
Au: 0.149 0.500 0.635
Au: 0.452 0.500 0.163
Au: 0.500 0.500 0.500
Au: 0.548 0.500 0.837
Au: 0.851 0.500 0.365

Largest 12 diffraction maxima, most intense first, 2θ from 15° to 90°:
d_spacing	I_rel
2.517	1000
3.664	327
2.596	297
2.076	231
2.304	224
1.832	216
2.375	208
2.239	203
1.435	166
3.238	147
2.141	135
1.482	121



What is the formula in the fourth record? AlSb3F



Number 2 is which compound? Ba2TcPb